Theoretical PXRD pattern of K5Re2N6 for CuKα, from a DFT-relaxed cell (PBE, Alexandria).
No peak broadening, texture or thermal motion is included.

Most intense lines, 2θ from 10° to 90°, in order of falling intensity:
2θ = 15.7°, intensity 100; 2θ = 31.4°, intensity 69; 2θ = 27.4°, intensity 59; 2θ = 16.2°, intensity 54; 2θ = 16.7°, intensity 53; 2θ = 12.0°, intensity 44; 2θ = 29.2°, intensity 27; 2θ = 18.4°, intensity 27; 2θ = 20.1°, intensity 27; 2θ = 18.6°, intensity 26; 2θ = 30.8°, intensity 24; 2θ = 34.1°, intensity 20

```
K5Re2N6
1.0
5.535 -3.498 0.000
5.535 3.498 0.000
-2.485 0.000 14.707
K Re N
10 4 12
Direct
0.100 0.900 0.750
0.175 0.701 0.005
0.292 0.406 0.288
0.299 0.825 0.495
0.406 0.292 0.788
0.594 0.708 0.212
0.701 0.175 0.505
0.708 0.594 0.712
0.825 0.299 0.995
0.900 0.100 0.250
0.135 0.415 0.577
0.415 0.135 0.077
0.585 0.865 0.923
0.865 0.585 0.423
0.100 0.224 0.642
0.148 0.315 0.447
0.224 0.100 0.142
0.315 0.148 0.947
0.363 0.488 0.626
0.488 0.363 0.126
0.512 0.637 0.874
0.637 0.512 0.374
0.685 0.852 0.053
0.776 0.900 0.858
0.852 0.685 0.553
0.900 0.776 0.358
```